(1)
This entry pairs a crystal structure of Cs12NbIn6As9 with its simulated X-ray diffraction stick pattern. Radiation: Cu Kα X-rays. Structure: the GGA-PBE geometry in OQMD.
Intensities are scaled so that the largest is 100.

Largest 10 diffraction maxima, most intense first, 2θ from 15° to 90°:
30.18°, rel. 100; 29.47°, rel. 93; 28.95°, rel. 93; 28.76°, rel. 85; 30.06°, rel. 78; 29.16°, rel. 77; 29.06°, rel. 61; 26.73°, rel. 48; 29.93°, rel. 47; 28.57°, rel. 47

Cell and atoms:
```
data_Cs12NbIn6As9
_cell_length_a 9.656
_cell_length_b 9.707
_cell_length_c 25.505
_cell_angle_alpha 86.90
_cell_angle_beta 87.13
_cell_angle_gamma 63.60
_space_group_name_H-M_alt 'P 1'
_space_group_IT_number 1
loop_
_space_group_symop_operation_xyz
'x,y,z'
loop_
_atom_site_label
_atom_site_fract_x
_atom_site_fract_y
_atom_site_fract_z
_atom_site_occupancy
Cs1 0.000 0.000 0.000 1
Cs2 0.000 0.000 0.500 1
Cs3 0.060 0.448 0.307 1
Cs4 0.149 0.109 0.741 1
Cs5 0.176 0.736 0.132 1
Cs6 0.202 0.539 0.534 1
Cs7 0.244 0.194 0.935 1
Cs8 0.288 0.633 0.749 1
Cs9 0.335 0.058 0.568 1
Cs10 0.380 0.290 0.180 1
Cs11 0.463 0.736 0.984 1
Cs12 0.467 0.383 0.384 1
Cs13 0.474 0.186 0.813 1
Cs14 0.526 0.814 0.187 1
Cs15 0.533 0.617 0.616 1
Cs16 0.537 0.264 0.016 1
Cs17 0.620 0.710 0.820 1
Cs18 0.665 0.942 0.432 1
Cs19 0.712 0.367 0.251 1
Cs20 0.756 0.806 0.065 1
Cs21 0.798 0.461 0.466 1
Cs22 0.824 0.264 0.868 1
Cs23 0.851 0.891 0.259 1
Cs24 0.940 0.552 0.693 1
Nb1 0.242 0.058 0.388 1
Nb2 0.758 0.942 0.612 1
In1 0.054 0.158 0.159 1
In2 0.079 0.381 0.059 1
In3 0.128 0.771 0.376 1
In4 0.175 0.003 0.267 1
In5 0.298 0.559 0.895 1
In6 0.474 0.267 0.666 1
In7 0.526 0.733 0.334 1
In8 0.702 0.441 0.105 1
In9 0.825 0.997 0.733 1
In10 0.872 0.229 0.624 1
In11 0.921 0.619 0.941 1
In12 0.946 0.842 0.841 1
As1 0.022 0.900 0.644 1
As2 0.050 0.522 0.841 1
As3 0.159 0.587 0.004 1
As4 0.197 0.879 0.864 1
As5 0.209 0.257 0.446 1
As6 0.286 0.080 0.082 1
As7 0.299 0.678 0.277 1
As8 0.367 0.792 0.434 1
As9 0.414 0.057 0.309 1
As10 0.586 0.943 0.691 1
As11 0.633 0.208 0.566 1
As12 0.701 0.322 0.723 1
As13 0.714 0.920 0.918 1
As14 0.791 0.743 0.554 1
As15 0.803 0.121 0.136 1
As16 0.841 0.413 0.996 1
As17 0.950 0.478 0.159 1
As18 0.978 0.100 0.356 1
```

=====

(2)
This entry pairs a crystal structure of CsAsIr with its simulated X-ray diffraction stick pattern. Radiation: Cu Kα X-rays. Structure: the GGA-PBE geometry in OQMD.
Intensities are scaled so that the largest is 100.

Largest 9 diffraction maxima, most intense first, 2θ from 15° to 90°:
37.09°, rel. 100; 22.46°, rel. 59; 66.85°, rel. 36; 43.79°, rel. 31; 53.46°, rel. 17; 58.70°, rel. 13; 79.00°, rel. 11; 83.40°, rel. 10; 71.50°, rel. 10

Cell and atoms:
```
data_CsAsIr
_cell_length_a 4.848
_cell_length_b 4.848
_cell_length_c 4.848
_cell_angle_alpha 60.00
_cell_angle_beta 60.00
_cell_angle_gamma 60.00
_space_group_name_H-M_alt 'P 1'
_space_group_IT_number 1
loop_
_space_group_symop_operation_xyz
'x,y,z'
loop_
_atom_site_label
_atom_site_fract_x
_atom_site_fract_y
_atom_site_fract_z
_atom_site_occupancy
Cs1 0.000 0.000 0.000 1
As1 0.500 0.500 0.500 1
Ir1 0.750 0.750 0.750 1
```

=====

(3)
This entry pairs a crystal structure of Cs2As2Ir2O7 with its simulated X-ray diffraction stick pattern. Radiation: Cu Kα X-rays. Structure: the GGA-PBE geometry in OQMD.
Intensities are scaled so that the largest is 100.

Largest 10 diffraction maxima, most intense first, 2θ from 15° to 90°:
27.63°, rel. 100; 38.71°, rel. 54; 25.61°, rel. 51; 26.67°, rel. 46; 18.65°, rel. 39; 33.87°, rel. 37; 43.62°, rel. 32; 20.20°, rel. 29; 51.64°, rel. 21; 34.99°, rel. 20

Cell and atoms:
```
data_Cs2As2Ir2O7
_cell_length_a 7.464
_cell_length_b 7.464
_cell_length_c 7.464
_cell_angle_alpha 138.46
_cell_angle_beta 86.88
_cell_angle_gamma 107.82
_space_group_name_H-M_alt 'P 1'
_space_group_IT_number 1
loop_
_space_group_symop_operation_xyz
'x,y,z'
loop_
_atom_site_label
_atom_site_fract_x
_atom_site_fract_y
_atom_site_fract_z
_atom_site_occupancy
Cs1 0.000 0.000 0.000 1
Cs2 0.703 0.203 0.500 1
As1 0.187 0.405 0.782 1
As2 0.623 0.405 0.218 1
Ir1 0.129 0.759 0.370 1
Ir2 0.389 0.759 0.630 1
O1 0.009 0.027 0.467 1
O2 0.009 0.542 0.983 1
O3 0.175 0.528 0.647 1
O4 0.391 0.891 0.500 1
O5 0.560 0.027 0.017 1
O6 0.560 0.542 0.533 1
O7 0.880 0.528 0.353 1
```